Diffraction record for SmHfC. The PXRD pattern is computed, not measured: it uses a DFT-relaxed cell (GGA-PBE, Alexandria) and CuKα.
No peak broadening, texture or thermal motion is included.

Structure:
Lattice parameters (Å, degrees): 5.7331 6.8098 9.0777 81.78 87.56 86.82
Space group P-1 (No. 2)
One atom of each set of equivalent atoms:
1 Sm 0.2337 0.1085 0.0415 [2 per cell]
2 Sm 0.2441 0.2715 0.3726 [2 per cell]
3 Sm 0.2525 0.4485 0.7231 [2 per cell]
4 Hf 0.2184 0.7665 0.3990 [2 per cell]
5 Hf 0.2597 0.6071 0.0643 [2 per cell]
6 Hf 0.2686 0.9433 0.7151 [2 per cell]
7 C 0.0000 0.5000 0.5000 [1 per cell]
8 C 0.0115 0.8438 0.1958 [2 per cell]
9 C 0.4767 0.6822 0.8615 [2 per cell]
10 C 0.5000 0.0000 0.5000 [1 per cell]

Main lines, low angle first (10° ≤ 2θ ≤ 80°):
two_theta  I (rel.)  (hkl)
29.9  32  0 0 3
31.3  100  2 0 0
33.1  67  1 2 -1
33.3  63  1 0 3
33.8  74  1 2 2
34.1  66  1 -2 1
34.3  61  1 0 -3
35.7  62  -1 2 2

***

Diffraction record for CeNd8Sm5. The PXRD pattern is computed, not measured: it uses a DFT-relaxed cell (GGA-PBE, Alexandria) and CuKα.
No peak broadening, texture or thermal motion is included.

Structure:
Lattice parameters (Å, degrees): 13.1903 11.1988 9.2334 90.00 134.11 90.00
Space group C2 (No. 5)
One atom of each set of equivalent atoms:
1 Ce 0.0000 0.0000 0.0000 [2 per cell]
2 Nd 0.0621 0.2153 0.2722 [4 per cell]
3 Nd 0.0622 0.7798 0.2741 [4 per cell]
4 Nd 0.1550 0.4974 0.0495 [4 per cell]
5 Nd 0.1910 0.3044 0.7614 [4 per cell]
6 Sm 0.0000 0.9962 0.5000 [2 per cell]
7 Sm 0.1707 0.4975 0.4580 [4 per cell]
8 Sm 0.1894 0.6907 0.7584 [4 per cell]

Main lines, low angle first (10° ≤ 2θ ≤ 80°):
two_theta  I (rel.)  (hkl)
25.7  29  1 3 -1
29.4  48  3 1 0
30.6  40  4 0 -3
31.4  100  0 2 2
32.0  49  0 4 0
32.3  63  3 3 -2
34.1  38  4 2 -1
49.9  23  3 5 0

***

Diffraction record for Sm2Tl2Ag. The PXRD pattern is computed, not measured: it uses a DFT-relaxed cell (GGA-PBE, Alexandria) and CuKα.
No peak broadening, texture or thermal motion is included.

Structure:
Lattice parameters (Å, degrees): 4.3060 6.8394 9.4626 90.00 90.00 90.00
Space group Immm (No. 71)
One atom of each set of equivalent atoms:
1 Sm 0.0000 0.0000 0.2204 [4 per cell]
2 Tl 0.0000 0.2772 0.5000 [4 per cell]
3 Ag 0.0000 0.5000 0.0000 [2 per cell]

Main lines, low angle first (10° ≤ 2θ ≤ 80°):
two_theta  I (rel.)  (hkl)
31.0  98  1 1 2
32.3  60  0 2 2
34.8  100  1 2 1
35.3  32  1 0 3
38.0  36  0 0 4
42.0  33  2 0 0
53.9  29  2 2 2
59.8  42  1 2 5

***

Diffraction record for MgIn2Ni3. The PXRD pattern is computed, not measured: it uses a DFT-relaxed cell (GGA-PBE, Alexandria) and CuKα.
No peak broadening, texture or thermal motion is included.

Structure:
Lattice parameters (Å, degrees): 4.3398 13.0881 3.2071 90.00 90.00 90.00
Space group Cmmm (No. 65)
One atom of each set of equivalent atoms:
1 Mg 0.0000 0.0000 0.0000 [2 per cell]
2 In 0.0000 0.3382 0.0000 [4 per cell]
3 Ni 0.0000 0.1700 0.5000 [4 per cell]
4 Ni 0.0000 0.5000 0.5000 [2 per cell]

Main lines, low angle first (10° ≤ 2θ ≤ 80°):
two_theta  I (rel.)  (hkl)
13.5  12  0 2 0
21.6  12  1 1 0
40.6  100  1 3 1
41.4  23  0 6 0
41.6  23  2 0 0
60.1  15  2 6 0
75.0  14  1 9 1
75.3  15  3 3 1

***

Diffraction record for LaNd4Ni4. The PXRD pattern is computed, not measured: it uses a DFT-relaxed cell (GGA-PBE, Alexandria) and CuKα.
No peak broadening, texture or thermal motion is included.

Structure:
Lattice parameters (Å, degrees): 8.6680 8.6680 5.9414 90.00 90.00 90.00
Space group P4_2/n (No. 86, origin choice 2)
One atom of each set of equivalent atoms:
1 La 0.2500 0.2500 0.2500 [2 per cell]
2 Nd 0.0603 0.6661 0.1533 [8 per cell]
3 Ni 0.0238 0.6167 0.6335 [8 per cell]

Main lines, low angle first (10° ≤ 2θ ≤ 80°):
two_theta  I (rel.)  (hkl)
27.5  72  2 1 1
31.8  50  1 0 2
32.7  100  1 3 0
38.2  29  1 2 2
43.7  18  3 0 2
46.9  32  4 2 0
48.7  28  2 3 2
55.2  28  5 0 1

***

Diffraction record for Cd2AgAs. The PXRD pattern is computed, not measured: it uses a DFT-relaxed cell (GGA-PBE, Alexandria) and CuKα.
No peak broadening, texture or thermal motion is included.

Structure:
Lattice parameters (Å, degrees): 2.9606 5.3991 10.4582 90.00 90.00 90.00
Space group Immm (No. 71)
One atom of each set of equivalent atoms:
1 Cd 0.0000 0.0000 0.2454 [4 per cell]
2 Ag 0.0000 0.5000 0.5000 [2 per cell]
3 As 0.0000 0.5000 0.0000 [2 per cell]

Main lines, low angle first (10° ≤ 2θ ≤ 80°):
two_theta  I (rel.)  (hkl)
33.2  39  0 2 0
34.3  35  0 0 4
38.7  100  1 1 2
48.5  26  0 2 4
63.0  23  1 3 2
64.4  21  1 1 6
72.9  7  2 2 0
73.5  7  2 0 4